Entry 1:
Structure and computed powder diffractogram of Na3CeBi2Se6 (a crystal structure in Alexandria, relaxed with GGA-PBE; Cu Kα, 1.54184 Å).
Lines closer than 0.1° are merged.

abc: 7.391 7.391 7.464
angles: 99.47 99.47 120.01
Element x y z (fractional)
Na  0.000  0.000  0.000
Na  0.328  0.672  0.000
Na  0.672  0.328  0.000
Ce  0.500  0.500  0.500
Bi  0.166  0.834  0.500
Bi  0.834  0.166  0.500
Se  0.087  0.421  0.263
Se  0.245  0.245  0.739
Se  0.421  0.087  0.263
Se  0.579  0.913  0.737
Se  0.755  0.755  0.261
Se  0.913  0.579  0.737

Largest 8 diffraction maxima, by intensity, 2θ = 10–80°:
| Position (°2θ) | d [Å] | intensity |
| --- | --- | --- |
| 29.49 | 3.029 | 100 |
| 12.56 | 7.048 | 52 |
| 42.03 | 2.150 | 38 |
| 42.36 | 2.134 | 37 |
| 24.45 | 3.640 | 28 |
| 52.46 | 1.744 | 20 |
| 69.63 | 1.350 | 17 |
| 44.36 | 2.042 | 15 |

***

Entry 2:
Structure and computed powder diffractogram of Tl3Zn2Sb2 (a crystal structure in Alexandria, relaxed with GGA-PBE; Cu Kα, 1.54184 Å).
Lines closer than 0.1° are merged.

abc: 6.637 8.587 14.039
angles: 90.00 90.00 90.00
Element x y z (fractional)
Tl  0.127  0.118  0.103
Tl  0.127  0.118  0.397
Tl  0.127  0.382  0.603
Tl  0.127  0.382  0.897
Tl  0.322  0.716  0.750
Tl  0.322  0.784  0.250
Tl  0.678  0.216  0.750
Tl  0.678  0.284  0.250
Tl  0.873  0.618  0.103
Tl  0.873  0.618  0.397
Tl  0.873  0.882  0.603
Tl  0.873  0.882  0.897
Zn  0.407  0.037  0.596
Zn  0.407  0.037  0.904
Zn  0.407  0.463  0.096
Zn  0.407  0.463  0.404
Zn  0.593  0.537  0.596
Zn  0.593  0.537  0.904
Zn  0.593  0.963  0.096
Zn  0.593  0.963  0.404
Sb  0.166  0.083  0.750
Sb  0.166  0.417  0.250
Sb  0.356  0.750  0.000
Sb  0.356  0.750  0.500
Sb  0.644  0.250  0.000
Sb  0.644  0.250  0.500
Sb  0.834  0.583  0.750
Sb  0.834  0.917  0.250

Largest 8 diffraction maxima, by intensity, 2θ = 10–80°:
| Position (°2θ) | d [Å] | intensity |
| --- | --- | --- |
| 34.74 | 2.582 | 100 |
| 28.83 | 3.097 | 89 |
| 30.64 | 2.918 | 63 |
| 34.12 | 2.628 | 63 |
| 28.21 | 3.164 | 62 |
| 31.32 | 2.856 | 41 |
| 25.50 | 3.493 | 41 |
| 32.96 | 2.717 | 23 |

***

Entry 3:
Structure and computed powder diffractogram of PrGaPd4 (a crystal structure in Alexandria, relaxed with GGA-PBE; Cu Kα, 1.54184 Å).
Lines closer than 0.1° are merged.

abc: 5.396 5.396 5.396
angles: 60.00 60.00 60.00
Element x y z (fractional)
Pr  0.000  0.000  0.000
Ga  0.750  0.750  0.750
Pd  0.376  0.376  0.376
Pd  0.376  0.376  0.873
Pd  0.376  0.873  0.376
Pd  0.873  0.376  0.376

Largest 8 diffraction maxima, by intensity, 2θ = 10–80°:
| Position (°2θ) | d [Å] | intensity |
| --- | --- | --- |
| 39.15 | 2.301 | 100 |
| 40.97 | 2.203 | 41 |
| 63.33 | 1.469 | 32 |
| 69.71 | 1.349 | 27 |
| 33.21 | 2.698 | 26 |
| 59.33 | 1.558 | 10 |
| 20.16 | 4.406 | 9 |
| 47.67 | 1.908 | 5 |

***

Number 3 is which compound? PrGaPd4